Theoretical X-ray diffraction stick pattern
Compound: Mn3O2F4
Radiation: copper Kα
Structure: a cell relaxed with PBE+U

Principal peaks in the range 2θ from 10° to 80°, by angle:
index	2theta	Rel. int.
1 1 -1	26.36	100
1 1 2	33.64	41
0 0 3	33.76	13
0 1 3	38.78	11
3 1 0	51.28	30
0 2 3	51.39	14
1 1 -4	51.52	15
2 2 -2	54.26	17
2 0 4	57.52	10
4 0 -1	65.32	15

Cell and atoms:
a = 5.763 Å, b = 4.789 Å, c = 7.973 Å
α = 90.00°, β = 92.71°, γ = 90.00°
Space group P2_1 (No. 4)
Asymmetric unit:
Mn 0.079 0.000 0.320 [2 per cell]
Mn 0.244 0.556 0.001 [2 per cell]
Mn 0.416 0.077 0.677 [2 per cell]
O 0.202 0.366 0.788 [2 per cell]
O 0.277 0.738 0.216 [2 per cell]
F 0.049 0.270 0.098 [2 per cell]
F 0.111 0.813 0.574 [2 per cell]
F 0.364 0.207 0.423 [2 per cell]
F 0.454 0.831 0.903 [2 per cell]


Theoretical X-ray diffraction stick pattern
Compound: K2V3O8
Radiation: copper Kα
Structure: a cell relaxed with PBE+U

Principal peaks in the range 2θ from 10° to 80°, by angle:
index	2theta	Rel. int.
0 0 1	16.10	37
2 1 0	22.02	14
2 0 1	25.52	22
2 1 1	27.40	100
3 1 0	31.35	32
0 0 2	32.52	18
4 2 0	44.92	10
3 1 2	45.79	16
2 1 3	54.96	11
5 2 1	57.48	11

Cell and atoms:
a = 9.024 Å, b = 9.024 Å, c = 5.506 Å
α = 90.00°, β = 90.00°, γ = 90.00°
Space group P4bm (No. 100)
Asymmetric unit:
K 0.170 0.330 0.000 [4 per cell]
V 0.000 0.000 0.457 [2 per cell]
V 0.134 0.634 0.466 [4 per cell]
O 0.000 0.000 0.756 [2 per cell]
O 0.000 0.500 0.348 [2 per cell]
O 0.087 0.808 0.352 [8 per cell]
O 0.132 0.632 0.769 [4 per cell]